Simulated powder X-ray diffraction pattern of Hf2MgZnPt4 for Cu Kα X-rays, from DFT lattice parameters and positions (PBE).
No peak broadening, texture or thermal motion is included.

Peak list (10 most intense, 10 to 90 degrees two-theta, in order of rising 2θ)
23.81 deg, rel. 11; 27.56 deg, rel. 9; 39.37 deg, rel. 100; 46.53 deg, rel. 6; 48.73 deg, rel. 3; 56.90 deg, rel. 17; 62.55 deg, rel. 2; 64.36 deg, rel. 3; 71.39 deg, rel. 35; 84.71 deg, rel. 11

Crystal structure
abc: 7.9339 7.9339 7.9339
angles: 33.52 33.52 33.52
Atoms (fractional coordinates):
Hf  0.2486  0.2486  0.2486
Hf  0.7514  0.7514  0.7514
Mg  0.0000  0.0000  0.0000
Zn  0.5000  0.5000  0.5000
Pt  0.1247  0.1247  0.1247
Pt  0.3744  0.3744  0.3744
Pt  0.6256  0.6256  0.6256
Pt  0.8753  0.8753  0.8753

Simulated powder X-ray diffraction pattern of Tl4Hg11 for Cu Kα X-rays, from DFT lattice parameters and positions (PBE).
No peak broadening, texture or thermal motion is included.

Peak list (10 most intense, 10 to 90 degrees two-theta, in order of rising 2θ)
28.62 deg, rel. 23; 31.47 deg, rel. 100; 32.41 deg, rel. 36; 32.52 deg, rel. 30; 33.43 deg, rel. 78; 34.68 deg, rel. 82; 35.54 deg, rel. 56; 37.69 deg, rel. 28; 55.48 deg, rel. 24; 59.26 deg, rel. 30

Crystal structure
abc: 11.7210 11.7210 6.2384
angles: 90.00 90.00 90.00
Atoms (fractional coordinates):
Tl  0.0500  0.3596  0.0000
Tl  0.1404  0.5500  0.5000
Tl  0.3596  0.0500  0.0000
Tl  0.4500  0.8596  0.5000
Tl  0.5500  0.1404  0.5000
Tl  0.6404  0.9500  0.0000
Tl  0.8596  0.4500  0.5000
Tl  0.9500  0.6404  0.0000
Hg  0.0000  0.0000  0.5000
Hg  0.0740  0.2670  0.5000
Hg  0.0921  0.0921  0.0000
Hg  0.1764  0.8236  0.2490
Hg  0.1764  0.8236  0.7510
Hg  0.2330  0.5740  0.0000
Hg  0.2670  0.0740  0.5000
Hg  0.3236  0.3236  0.2510
Hg  0.3236  0.3236  0.7490
Hg  0.4079  0.5921  0.5000
Hg  0.4260  0.7670  0.0000
Hg  0.5000  0.5000  0.0000
Hg  0.5740  0.2330  0.0000
Hg  0.5921  0.4079  0.5000
Hg  0.6764  0.6764  0.2510
Hg  0.6764  0.6764  0.7490
Hg  0.7330  0.9260  0.5000
Hg  0.7670  0.4260  0.0000
Hg  0.8236  0.1764  0.2490
Hg  0.8236  0.1764  0.7510
Hg  0.9079  0.9079  0.0000
Hg  0.9260  0.7330  0.5000

Simulated powder X-ray diffraction pattern of Pm2ZnGaPt6 for Cu Kα X-rays, from DFT lattice parameters and positions (PBE).
No peak broadening, texture or thermal motion is included.

Peak list (10 most intense, 10 to 90 degrees two-theta, in order of rising 2θ)
20.79 deg, rel. 30; 28.42 deg, rel. 25; 28.53 deg, rel. 22; 29.42 deg, rel. 20; 29.65 deg, rel. 19; 39.07 deg, rel. 100; 41.36 deg, rel. 25; 41.62 deg, rel. 25; 42.20 deg, rel. 36; 44.74 deg, rel. 18

Crystal structure
abc: 6.6182 6.6182 8.5425
angles: 129.83 129.83 48.86
Atoms (fractional coordinates):
Pm  0.2452  0.2452  0.2098
Pm  0.7548  0.7548  0.7902
Zn  0.5000  0.5000  0.0000
Ga  0.0000  0.0000  0.5000
Pt  0.2381  0.7337  0.2395
Pt  0.2507  0.2507  0.5887
Pt  0.2663  0.7619  0.7605
Pt  0.7337  0.2381  0.2395
Pt  0.7493  0.7493  0.4113
Pt  0.7619  0.2663  0.7605

Simulated powder X-ray diffraction pattern of Rb4NbTe5 for Cu Kα X-rays, from DFT lattice parameters and positions (PBE).
No peak broadening, texture or thermal motion is included.

Peak list (10 most intense, 10 to 90 degrees two-theta, in order of rising 2θ)
11.18 deg, rel. 52; 24.24 deg, rel. 100; 25.06 deg, rel. 62; 25.23 deg, rel. 63; 31.79 deg, rel. 16; 34.21 deg, rel. 25; 34.50 deg, rel. 28; 35.86 deg, rel. 16; 36.03 deg, rel. 37; 36.17 deg, rel. 17

Crystal structure
abc: 7.3597 8.5727 8.6137
angles: 80.66 66.31 68.07
Atoms (fractional coordinates):
Rb  0.0000  0.0000  0.0000
Rb  0.2004  0.1853  0.4218
Rb  0.4129  0.3960  0.8309
Rb  0.6218  0.6059  0.2085
Nb  0.9395  0.7408  0.5940
Te  0.0797  0.6214  0.2776
Te  0.2699  0.7757  0.6100
Te  0.5900  0.9355  0.8674
Te  0.7275  0.0605  0.4758
Te  0.9052  0.4587  0.7823

Simulated powder X-ray diffraction pattern of KB2Pt for Cu Kα X-rays, from DFT lattice parameters and positions (PBE).
No peak broadening, texture or thermal motion is included.

Peak list (10 most intense, 10 to 90 degrees two-theta, in order of rising 2θ)
17.99 deg, rel. 69; 27.83 deg, rel. 100; 28.40 deg, rel. 16; 31.02 deg, rel. 16; 32.83 deg, rel. 32; 37.68 deg, rel. 16; 45.79 deg, rel. 26; 53.25 deg, rel. 16; 55.60 deg, rel. 29; 57.49 deg, rel. 14

Crystal structure
abc: 5.4558 5.4558 11.5314
angles: 90.00 90.00 90.00
Atoms (fractional coordinates):
K  0.0000  0.2500  0.3750
K  0.0000  0.7500  0.6250
K  0.5000  0.2500  0.1250
K  0.5000  0.7500  0.8750
B  0.0000  0.0000  0.0000
B  0.0000  0.5000  0.0000
B  0.2500  0.2500  0.7500
B  0.2500  0.7500  0.2500
B  0.5000  0.0000  0.5000
B  0.5000  0.5000  0.5000
B  0.7500  0.2500  0.7500
B  0.7500  0.7500  0.2500
Pt  0.0000  0.2500  0.8750
Pt  0.0000  0.7500  0.1250
Pt  0.5000  0.2500  0.6250
Pt  0.5000  0.7500  0.3750

Simulated powder X-ray diffraction pattern of Cs2ZrSi3O9 for Cu Kα X-rays, from DFT lattice parameters and positions (PBE).
No peak broadening, texture or thermal motion is included.

Peak list (10 most intense, 10 to 90 degrees two-theta, in order of rising 2θ)
24.29 deg, rel. 82; 29.27 deg, rel. 75; 29.41 deg, rel. 38; 29.79 deg, rel. 100; 38.39 deg, rel. 20; 42.73 deg, rel. 19; 46.30 deg, rel. 31; 49.76 deg, rel. 21; 58.61 deg, rel. 18; 58.78 deg, rel. 18

Crystal structure
abc: 7.3299 7.3299 10.4387
angles: 90.00 90.00 120.00
Atoms (fractional coordinates):
Cs  0.3333  0.6667  0.0637
Cs  0.3333  0.6667  0.4363
Cs  0.6667  0.3333  0.5637
Cs  0.6667  0.3333  0.9363
Zr  0.0000  0.0000  0.0000
Zr  0.0000  0.0000  0.5000
Si  0.1544  0.3898  0.7500
Si  0.2354  0.8456  0.7500
Si  0.3898  0.2354  0.2500
Si  0.6102  0.7646  0.7500
Si  0.7646  0.1544  0.2500
Si  0.8456  0.6102  0.2500
O  0.0631  0.2601  0.6180
O  0.0631  0.2601  0.8820
O  0.0946  0.5830  0.7500
O  0.1970  0.9369  0.6180
O  0.1970  0.9369  0.8820
O  0.2601  0.1970  0.1180
O  0.2601  0.1970  0.3820
O  0.4170  0.5117  0.7500
O  0.4883  0.9054  0.7500
O  0.5117  0.0946  0.2500
O  0.5830  0.4883  0.2500
O  0.7399  0.8030  0.6180
O  0.7399  0.8030  0.8820
O  0.8030  0.0631  0.1180
O  0.8030  0.0631  0.3820
O  0.9054  0.4170  0.2500
O  0.9369  0.7399  0.1180
O  0.9369  0.7399  0.3820

Simulated powder X-ray diffraction pattern of Ta3In2Se6 for Cu Kα X-rays, from DFT lattice parameters and positions (PBE).
No peak broadening, texture or thermal motion is included.

Peak list (10 most intense, 10 to 90 degrees two-theta, in order of rising 2θ)
10.75 deg, rel. 66; 29.58 deg, rel. 49; 31.56 deg, rel. 11; 34.83 deg, rel. 22; 36.92 deg, rel. 100; 44.63 deg, rel. 12; 50.68 deg, rel. 18; 52.49 deg, rel. 34; 65.90 deg, rel. 18; 89.01 deg, rel. 17

Crystal structure
abc: 3.4868 3.4868 24.6882
angles: 90.00 90.00 120.00
Atoms (fractional coordinates):
Ta  0.0000  0.0000  0.0000
Ta  0.0000  0.0000  0.3497
Ta  0.0000  0.0000  0.6503
In  0.0000  0.0000  0.1769
In  0.0000  0.0000  0.8231
Se  0.6667  0.3333  0.0679
Se  0.6667  0.3333  0.2815
Se  0.6667  0.3333  0.4169
Se  0.6667  0.3333  0.5831
Se  0.6667  0.3333  0.7185
Se  0.6667  0.3333  0.9321

Simulated powder X-ray diffraction pattern of SrInCu5 for Cu Kα X-rays, from DFT lattice parameters and positions (PBE).
No peak broadening, texture or thermal motion is included.

Peak list (10 most intense, 10 to 90 degrees two-theta, in order of rising 2θ)
34.43 deg, rel. 38; 37.05 deg, rel. 100; 37.24 deg, rel. 59; 39.95 deg, rel. 33; 41.52 deg, rel. 50; 43.35 deg, rel. 35; 43.73 deg, rel. 68; 43.85 deg, rel. 34; 44.45 deg, rel. 69; 68.12 deg, rel. 43

Crystal structure
abc: 8.5142 5.2092 10.6404
angles: 90.00 90.00 90.00
Atoms (fractional coordinates):
Sr  0.2414  0.2500  0.0606
Sr  0.2586  0.7500  0.5606
Sr  0.7414  0.2500  0.4394
Sr  0.7586  0.7500  0.9394
In  0.1411  0.7500  0.8623
In  0.3589  0.2500  0.3623
In  0.6411  0.7500  0.6377
In  0.8589  0.2500  0.1377
Cu  0.0577  0.7500  0.1126
Cu  0.0670  0.9999  0.3140
Cu  0.0670  0.5001  0.3140
Cu  0.0831  0.2500  0.5166
Cu  0.1824  0.2500  0.7446
Cu  0.3176  0.7500  0.2446
Cu  0.4169  0.7500  0.0166
Cu  0.4330  0.0001  0.8140
Cu  0.4330  0.4999  0.8140
Cu  0.4423  0.2500  0.6126
Cu  0.5577  0.7500  0.3874
Cu  0.5670  0.9999  0.1860
Cu  0.5670  0.5001  0.1860
Cu  0.5831  0.2500  0.9834
Cu  0.6824  0.2500  0.7554
Cu  0.8176  0.7500  0.2554
Cu  0.9169  0.7500  0.4834
Cu  0.9330  0.0001  0.6860
Cu  0.9330  0.4999  0.6860
Cu  0.9423  0.2500  0.8874

Simulated powder X-ray diffraction pattern of Li2La3Ir7 for Cu Kα X-rays, from DFT lattice parameters and positions (PBE).
No peak broadening, texture or thermal motion is included.

Peak list (10 most intense, 10 to 90 degrees two-theta, in order of rising 2θ)
10.33 deg, rel. 35; 20.74 deg, rel. 47; 30.89 deg, rel. 37; 33.78 deg, rel. 56; 38.39 deg, rel. 87; 38.88 deg, rel. 50; 39.25 deg, rel. 100; 42.21 deg, rel. 100; 69.09 deg, rel. 39; 84.40 deg, rel. 38

Crystal structure
abc: 9.1214 9.1214 9.1214
angles: 34.69 34.69 34.69
Atoms (fractional coordinates):
Li  0.1640  0.1640  0.1640
Li  0.8360  0.8360  0.8360
La  0.3597  0.3597  0.3597
La  0.5000  0.5000  0.5000
La  0.6403  0.6403  0.6403
Ir  0.0000  0.0000  0.0000
Ir  0.0851  0.0851  0.5764
Ir  0.0851  0.5764  0.0851
Ir  0.4236  0.9149  0.9149
Ir  0.5764  0.0851  0.0851
Ir  0.9149  0.4236  0.9149
Ir  0.9149  0.9149  0.4236

Simulated powder X-ray diffraction pattern of Pr4Zn2Ag5 for Cu Kα X-rays, from DFT lattice parameters and positions (PBE).
No peak broadening, texture or thermal motion is included.

Peak list (10 most intense, 10 to 90 degrees two-theta, in order of rising 2θ)
32.08 deg, rel. 100; 32.57 deg, rel. 73; 32.83 deg, rel. 69; 33.71 deg, rel. 15; 39.05 deg, rel. 41; 39.73 deg, rel. 31; 40.92 deg, rel. 27; 46.82 deg, rel. 30; 62.55 deg, rel. 19; 63.04 deg, rel. 15

Crystal structure
abc: 7.8024 3.8809 9.0875
angles: 90.00 92.99 90.00
Atoms (fractional coordinates):
Pr  0.2194  0.0000  0.1386
Pr  0.2661  0.0000  0.6289
Pr  0.7339  0.0000  0.3711
Pr  0.7806  0.0000  0.8614
Zn  0.0647  0.5000  0.3787
Zn  0.9353  0.5000  0.6213
Ag  0.1241  0.5000  0.8776
Ag  0.4064  0.5000  0.3640
Ag  0.5000  0.5000  0.0000
Ag  0.5936  0.5000  0.6360
Ag  0.8759  0.5000  0.1224

Simulated powder X-ray diffraction pattern of CaPdS for Cu Kα X-rays, from DFT lattice parameters and positions (PBE).
No peak broadening, texture or thermal motion is included.

Peak list (10 most intense, 10 to 90 degrees two-theta, in order of rising 2θ)
23.27 deg, rel. 63; 28.52 deg, rel. 33; 34.17 deg, rel. 100; 37.01 deg, rel. 57; 45.99 deg, rel. 39; 47.23 deg, rel. 21; 48.15 deg, rel. 20; 60.44 deg, rel. 25; 68.03 deg, rel. 17; 77.47 deg, rel. 17

Crystal structure
abc: 5.5807 5.5822 8.1903
angles: 90.00 109.82 90.00
Atoms (fractional coordinates):
Ca  0.0000  0.1255  0.0000
Ca  0.0000  0.8745  0.5000
Ca  0.5000  0.3745  0.5000
Ca  0.5000  0.6255  0.0000
Pd  0.0851  0.3767  0.6736
Pd  0.0851  0.6233  0.1736
Pd  0.5851  0.1233  0.1736
Pd  0.5851  0.8767  0.6736
S  0.4324  0.1275  0.8636
S  0.4324  0.8725  0.3636
S  0.9324  0.3725  0.3636
S  0.9324  0.6275  0.8636

Simulated powder X-ray diffraction pattern of Ac2Sb3Rh4 for Cu Kα X-rays, from DFT lattice parameters and positions (PBE).
No peak broadening, texture or thermal motion is included.

Peak list (10 most intense, 10 to 90 degrees two-theta, in order of rising 2θ)
32.10 deg, rel. 48; 32.59 deg, rel. 58; 32.85 deg, rel. 100; 35.81 deg, rel. 26; 37.12 deg, rel. 89; 37.39 deg, rel. 41; 40.61 deg, rel. 22; 53.00 deg, rel. 27; 53.42 deg, rel. 25; 67.08 deg, rel. 24

Crystal structure
abc: 8.8304 8.8304 7.5441
angles: 90.00 90.00 138.08
Atoms (fractional coordinates):
Ac  0.1033  0.8967  0.9162
Ac  0.3967  0.6033  0.4162
Ac  0.6033  0.3967  0.5838
Ac  0.8967  0.1033  0.0838
Sb  0.0000  0.0000  0.5000
Sb  0.0145  0.4855  0.7500
Sb  0.4855  0.0145  0.2500
Sb  0.5000  0.5000  0.0000
Sb  0.5145  0.9855  0.7500
Sb  0.9855  0.5145  0.2500
Rh  0.1723  0.8277  0.5148
Rh  0.1785  0.3215  0.7500
Rh  0.3215  0.1785  0.2500
Rh  0.3277  0.6723  0.0148
Rh  0.6723  0.3277  0.9852
Rh  0.6785  0.8215  0.7500
Rh  0.8215  0.6785  0.2500
Rh  0.8277  0.1723  0.4852